Entry 1:
Theoretical powder diffraction line list of Cd2AgW for Cu Kα (weighted mean of Kα1 and Kα2), from a structure optimized by DFT (GGA-PBE).
Neutral-atom scattering factors, no anomalous dispersion.

The 12 most intense peaks (2θ from 10° to 80°), in order of falling intensity:
37.4°, 2.405 Å, I = 100; 43.1°, 2.098 Å, I = 67; 36.3°, 2.477 Å, I = 36; 75.3°, 1.262 Å, I = 25; 61.9°, 1.500 Å, I = 22; 63.4°, 1.467 Å, I = 21; 73.9°, 1.283 Å, I = 13; 76.0°, 1.253 Å, I = 12; 79.8°, 1.202 Å, I = 11; 77.0°, 1.239 Å, I = 4; 17.9°, 4.954 Å, I = 3; 35.4°, 2.532 Å, I = 2

Structural model:
a = 10.052 Å, b = 10.052 Å, c = 10.052 Å
α = 16.79°, β = 16.79°, γ = 16.79°
Positions (direct):
Cd1 0.250 0.250 0.250
Cd2 0.750 0.750 0.750
Ag1 0.000 0.000 0.000
W1 0.500 0.500 0.500

***

Entry 2:
Theoretical powder diffraction line list of Y2CdAg3 for Cu Kα (weighted mean of Kα1 and Kα2), from a structure optimized by DFT (GGA-PBE).
Neutral-atom scattering factors, no anomalous dispersion.

The 12 most intense peaks (2θ from 10° to 80°), in order of falling intensity:
33.2°, 2.699 Å, I = 100; 41.0°, 2.203 Å, I = 25; 33.0°, 2.716 Å, I = 17; 45.2°, 2.007 Å, I = 15; 45.8°, 1.983 Å, I = 14; 63.1°, 1.474 Å, I = 13; 41.1°, 2.195 Å, I = 13; 22.7°, 3.923 Å, I = 13; 43.5°, 2.079 Å, I = 12; 57.2°, 1.611 Å, I = 11; 22.9°, 3.877 Å, I = 10; 66.3°, 1.411 Å, I = 9

Structural model:
a = 9.644 Å, b = 9.644 Å, c = 9.644 Å
α = 156.27°, β = 155.97°, γ = 34.02°
Positions (direct):
Y1 0.000 0.000 0.000
Y2 0.730 0.230 0.500
Cd1 0.408 0.408 0.000
Ag1 0.159 0.659 0.500
Ag2 0.307 0.807 0.500
Ag3 0.562 0.562 0.000

***

Entry 3:
Theoretical powder diffraction line list of Y2Cd3Ag for Cu Kα (weighted mean of Kα1 and Kα2), from a structure optimized by DFT (GGA-PBE).
Neutral-atom scattering factors, no anomalous dispersion.

The 12 most intense peaks (2θ from 10° to 80°), in order of falling intensity:
33.5°, 2.672 Å, I = 100; 36.5°, 2.464 Å, I = 96; 66.5°, 1.407 Å, I = 31; 50.4°, 1.811 Å, I = 30; 63.8°, 1.460 Å, I = 28; 45.3°, 2.001 Å, I = 19; 65.6°, 1.423 Å, I = 16; 26.0°, 3.426 Å, I = 15; 53.5°, 1.713 Å, I = 10; 77.5°, 1.232 Å, I = 10; 71.8°, 1.314 Å, I = 5; 20.8°, 4.269 Å, I = 2

Structural model:
a = 3.426 Å, b = 4.931 Å, c = 8.534 Å
α = 90.00°, β = 90.00°, γ = 90.00°
Positions (direct):
Y1 0.000 0.000 0.000
Y2 0.000 0.500 0.479
Cd1 0.500 0.000 0.653
Cd2 0.500 0.500 0.156
Cd3 0.500 0.500 0.821
Ag1 0.500 0.000 0.322

***

Entry 4:
Theoretical powder diffraction line list of Y5CdAg4 for Cu Kα (weighted mean of Kα1 and Kα2), from a structure optimized by DFT (GGA-PBE).
Neutral-atom scattering factors, no anomalous dispersion.

The 11 most intense peaks (2θ from 10° to 80°), in order of falling intensity:
34.6°, 2.596 Å, I = 100; 34.7°, 2.582 Å, I = 50; 62.2°, 1.494 Å, I = 34; 61.8°, 1.501 Å, I = 17; 49.9°, 1.826 Å, I = 17; 72.9°, 1.298 Å, I = 10; 49.4°, 1.846 Å, I = 9; 73.3°, 1.291 Å, I = 5; 24.4°, 3.652 Å, I = 1; 24.1°, 3.691 Å, I = 1; 42.7°, 2.116 Å, I = 1

Structural model:
a = 3.652 Å, b = 3.652 Å, c = 18.455 Å
α = 90.00°, β = 90.00°, γ = 90.00°
Positions (direct):
Y1 0.000 0.000 0.000
Y2 0.000 0.000 0.198
Y3 0.000 0.000 0.395
Y4 0.000 0.000 0.605
Y5 0.000 0.000 0.802
Cd1 0.500 0.500 0.500
Ag1 0.500 0.500 0.099
Ag2 0.500 0.500 0.298
Ag3 0.500 0.500 0.702
Ag4 0.500 0.500 0.901

***

Repeat the second record exactly.
Theoretical powder diffraction line list of Y2CdAg3 for Cu Kα (weighted mean of Kα1 and Kα2), from a structure optimized by DFT (GGA-PBE).
Neutral-atom scattering factors, no anomalous dispersion.

The 12 most intense peaks (2θ from 10° to 80°), in order of falling intensity:
33.2°, 2.699 Å, I = 100; 41.0°, 2.203 Å, I = 25; 33.0°, 2.716 Å, I = 17; 45.2°, 2.007 Å, I = 15; 45.8°, 1.983 Å, I = 14; 63.1°, 1.474 Å, I = 13; 41.1°, 2.195 Å, I = 13; 22.7°, 3.923 Å, I = 13; 43.5°, 2.079 Å, I = 12; 57.2°, 1.611 Å, I = 11; 22.9°, 3.877 Å, I = 10; 66.3°, 1.411 Å, I = 9

Structural model:
a = 9.644 Å, b = 9.644 Å, c = 9.644 Å
α = 156.27°, β = 155.97°, γ = 34.02°
Positions (direct):
Y1 0.000 0.000 0.000
Y2 0.730 0.230 0.500
Cd1 0.408 0.408 0.000
Ag1 0.159 0.659 0.500
Ag2 0.307 0.807 0.500
Ag3 0.562 0.562 0.000

***

Question: Number 2 is which compound?
Answer: Y2CdAg3